BaNaSr3Sb3O12: theoretical powder diffractogram (Cu Ka), based on a DFT-relaxed cell (GGA-PBE, Alexandria).

Top 8 peaks for 2θ from 15° to 90°, in order of falling intensity:
2θ = 30.6°, I = 100, hkl 2 2 2; 2θ = 43.7°, I = 31, hkl 4 4 0; 2θ = 54.6°, I = 30, hkl 4 0 4; 2θ = 30.8°, I = 24, hkl 4 0 0; 2θ = 30.2°, I = 24, hkl 0 4 0; 2θ = 53.9°, I = 22, hkl 2 6 2; 2θ = 63.7°, I = 17, hkl 4 4 4; 2θ = 15.2°, I = 17, hkl 2 0 0

Cell and atoms:
Unit cell a=11.6174 b=11.8300 c=8.2343 alpha=90.00 beta=90.00 gamma=90.00
Space group C222_1 (No. 20)
Inequivalent atoms, fractional coordinates:
Ba 0.0000 0.0025 0.2500 x4
Na 0.2495 0.0000 0.5000 x4
Sr 0.0000 0.4937 0.7500 x4
Sr 0.2469 0.2507 0.7528 x8
Sb 0.0008 0.2539 0.0004 x8
Sb 0.2473 0.5000 0.5000 x4
O 0.0000 0.2216 0.7500 x4
O 0.0000 0.2898 0.2500 x4
O 0.1175 0.3648 0.9638 x8
O 0.1187 0.1438 0.4700 x8
O 0.1225 0.3785 0.5437 x8
O 0.1284 0.1293 0.0358 x8
O 0.2480 0.4660 0.2727 x8